The following is a simulated powder diffraction line list of CaMnO2. It was derived from a DFT-relaxed cell (GGA+U, Alexandria), using Cu Kα (weighted mean of Kα1 and Kα2).
Intensities are scaled so that the largest is 100.

Top 6 peaks for 5 to 70 degrees two-theta, in order of rising 2θ:
2theta	intensity
16.45	4
33.26	50
38.59	100
55.72	59
66.46	21
69.83	18

Cell and atoms:
abc: 6.5987 6.5987 6.5987
angles: 60.00 60.00 60.00
Atoms (fractional coordinates):
Ca  0.0000  0.0000  0.0000
Ca  0.0000  0.0000  0.5000
Ca  0.0000  0.5000  0.0000
Ca  0.5000  0.0000  0.0000
Mn  0.0000  0.5000  0.5000
Mn  0.5000  0.0000  0.5000
Mn  0.5000  0.5000  0.0000
Mn  0.5000  0.5000  0.5000
O  0.2540  0.2540  0.2540
O  0.2540  0.2540  0.7381
O  0.2540  0.7381  0.2540
O  0.2619  0.7460  0.7460
O  0.7381  0.2540  0.2540
O  0.7460  0.2619  0.7460
O  0.7460  0.7460  0.2619
O  0.7460  0.7460  0.7460